Diffraction record for Li2V3P5O18. The XRD peak list is computed, not measured: it uses a crystal structure in the Materials Project, relaxed with GGA+U and a wavelength of 1.5418 Å.
Intensities are scaled so that the largest is 100.

Principal peaks in the range 5 to 70 degrees two-theta, sorted by position:
| Position (°2θ) | I/Imax | h k l |
| --- | --- | --- |
| 13.6 | 100 | 4 0 0 |
| 15.3 | 35 | 2 0 -2 |
| 19.8 | 11 | 1 1 1 |
| 20.9 | 40 | 3 1 0 |
| 25.5 | 18 | 3 1 2 |
| 28.7 | 24 | 2 0 -4 |
| 30.3 | 24 | 7 1 0 |
| 36.9 | 15 | 0 2 0 |

Structural model:
```
data_Li2V3P5O18
_symmetry_space_group_name_H-M 'C 1 2/c 1'
_symmetry_Int_Tables_number 15
_symmetry_space_group_name_Hall '-C 2yc'
_cell_length_a 25.969
_cell_length_b 4.869
_cell_length_c 12.686
_cell_angle_alpha 90.00
_cell_angle_beta 92.10
_cell_angle_gamma 90.00
loop_
_atom_site_label
_atom_site_fract_x
_atom_site_fract_y
_atom_site_fract_z
Li1 0.166 0.143 0.367
V1 0.000 0.000 0.000
V2 0.197 0.458 0.621
P1 0.000 0.231 0.750
P2 0.068 0.495 0.595
P3 0.227 0.431 0.873
O1 0.023 0.076 0.844
O2 0.043 0.440 0.709
O3 0.044 0.327 0.507
O4 0.063 0.202 0.070
O5 0.124 0.404 0.617
O6 0.196 0.447 0.464
O7 0.196 0.460 0.275
O8 0.217 0.036 0.626
O9 0.228 0.111 0.877
```